[1]
Structure and simulated powder XRD pattern of HfInTe4Au3 (DFT lattice parameters and positions (GGA-PBE); CuKα).
Kinematic intensities with the Lorentz-polarization factor, no thermal factor.

Structural model:
a = 6.5432 Å, b = 8.2148 Å, c = 10.3494 Å
α = 90.00°, β = 102.53°, γ = 90.00°
Space group P2_1/m (No. 11)
Inequivalent atoms, fractional coordinates:
Hf1 0.1594 0.2500 0.2844 [2 per cell]
In1 0.1986 0.7500 0.0676 [2 per cell]
Te1 0.1096 0.0171 0.7628 [4 per cell]
Te2 0.3511 0.2500 0.0767 [2 per cell]
Te3 0.4463 0.2500 0.5340 [2 per cell]
Au1 0.1921 0.5453 0.4622 [4 per cell]
Au2 0.3484 0.7500 0.6877 [2 per cell]

Principal peaks in the range 2θ = 15–90°, by angle:
d = 3.455 Å, intensity 76
d = 2.827 Å, intensity 88
d = 2.604 Å, intensity 49
d = 2.353 Å, intensity 100
d = 2.208 Å, intensity 92
d = 2.054 Å, intensity 50

---

[2]
Structure and simulated powder XRD pattern of LiHfAu3S4 (DFT lattice parameters and positions (GGA-PBE); CuKα).
Kinematic intensities with the Lorentz-polarization factor, no thermal factor.

Structural model:
a = 5.9470 Å, b = 5.9470 Å, c = 5.9470 Å
α = 90.00°, β = 90.00°, γ = 90.00°
Space group P-43m (No. 215)
Inequivalent atoms, fractional coordinates:
Li1 0.0000 0.0000 0.0000 [1 per cell]
Hf1 0.5000 0.5000 0.5000 [1 per cell]
Au1 0.0000 0.5000 0.5000 [3 per cell]
S1 0.2598 0.2598 0.2598 [4 per cell]

Principal peaks in the range 2θ = 15–90°, by angle:
d = 3.434 Å, intensity 61
d = 2.974 Å, intensity 66
d = 2.660 Å, intensity 62
d = 2.103 Å, intensity 100
d = 1.982 Å, intensity 35
d = 1.214 Å, intensity 34

---

[3]
Structure and simulated powder XRD pattern of LiHfAu3S4 (DFT lattice parameters and positions (GGA-PBE); CuKα).
Kinematic intensities with the Lorentz-polarization factor, no thermal factor.

Structural model:
a = 5.6196 Å, b = 8.5478 Å, c = 8.9853 Å
α = 90.00°, β = 91.83°, γ = 90.00°
Space group P2_1/m (No. 11)
Inequivalent atoms, fractional coordinates:
Li1 0.2042 0.2500 0.2730 [2 per cell]
Hf1 0.1442 0.7500 0.2529 [2 per cell]
Au1 0.3184 0.0787 0.9109 [4 per cell]
Au2 0.3579 0.2500 0.6176 [2 per cell]
S1 0.0233 0.2500 0.0146 [2 per cell]
S2 0.0226 0.7500 0.5040 [2 per cell]
S3 0.3981 0.5171 0.2707 [4 per cell]

Principal peaks in the range 2θ = 15–90°, by angle:
d = 3.859 Å, intensity 100
d = 2.677 Å, intensity 100
d = 2.668 Å, intensity 91
d = 2.656 Å, intensity 64
d = 2.436 Å, intensity 82
d = 2.406 Å, intensity 86

---

Please write out number 1 again, unchanged.
Structure and simulated powder XRD pattern of HfInTe4Au3 (DFT lattice parameters and positions (GGA-PBE); CuKα).
Kinematic intensities with the Lorentz-polarization factor, no thermal factor.

Structural model:
a = 6.5432 Å, b = 8.2148 Å, c = 10.3494 Å
α = 90.00°, β = 102.53°, γ = 90.00°
Space group P2_1/m (No. 11)
Inequivalent atoms, fractional coordinates:
Hf1 0.1594 0.2500 0.2844 [2 per cell]
In1 0.1986 0.7500 0.0676 [2 per cell]
Te1 0.1096 0.0171 0.7628 [4 per cell]
Te2 0.3511 0.2500 0.0767 [2 per cell]
Te3 0.4463 0.2500 0.5340 [2 per cell]
Au1 0.1921 0.5453 0.4622 [4 per cell]
Au2 0.3484 0.7500 0.6877 [2 per cell]

Principal peaks in the range 2θ = 15–90°, by angle:
d = 3.455 Å, intensity 76
d = 2.827 Å, intensity 88
d = 2.604 Å, intensity 49
d = 2.353 Å, intensity 100
d = 2.208 Å, intensity 92
d = 2.054 Å, intensity 50

---

Copy entry 3 word for word.
Structure and simulated powder XRD pattern of LiHfAu3S4 (DFT lattice parameters and positions (GGA-PBE); CuKα).
Kinematic intensities with the Lorentz-polarization factor, no thermal factor.

Structural model:
a = 5.6196 Å, b = 8.5478 Å, c = 8.9853 Å
α = 90.00°, β = 91.83°, γ = 90.00°
Space group P2_1/m (No. 11)
Inequivalent atoms, fractional coordinates:
Li1 0.2042 0.2500 0.2730 [2 per cell]
Hf1 0.1442 0.7500 0.2529 [2 per cell]
Au1 0.3184 0.0787 0.9109 [4 per cell]
Au2 0.3579 0.2500 0.6176 [2 per cell]
S1 0.0233 0.2500 0.0146 [2 per cell]
S2 0.0226 0.7500 0.5040 [2 per cell]
S3 0.3981 0.5171 0.2707 [4 per cell]

Principal peaks in the range 2θ = 15–90°, by angle:
d = 3.859 Å, intensity 100
d = 2.677 Å, intensity 100
d = 2.668 Å, intensity 91
d = 2.656 Å, intensity 64
d = 2.436 Å, intensity 82
d = 2.406 Å, intensity 86